Sr2Ga7Ag12: simulated powder diffraction line list (Cu Kα (weighted mean of Kα1 and Kα2)), based on a crystal structure in Alexandria, relaxed with GGA-PBE.

Peak list (10 most intense, 2θ from 10° to 90°, in order of rising 2θ)
16.51 deg, I = 11, hkl 1 1 0; 33.12 deg, I = 100, hkl 2 1 1; 35.90 deg, I = 15, hkl 3 0 1; 40.97 deg, I = 27, hkl 4 -1 1; 42.37 deg, I = 21, hkl 3 2 0; 42.68 deg, I = 22, hkl 0 0 2; 44.45 deg, I = 14, hkl 0 4 1; 44.66 deg, I = 20, hkl 1 4 0; 72.05 deg, I = 11, hkl 2 1 3; 74.92 deg, I = 12, hkl 5 3 1

Crystal structure
```
data_Sr2Ga7Ag12
_chemical_formula_sum 'Sr2 Ga7 Ag12'
_symmetry_space_group_name_H-M 'P 1'
_symmetry_Int_Tables_number 1
_symmetry_space_group_name_Hall 'P 1'
_cell_length_a 10.7372
_cell_length_b 10.7372
_cell_length_c 4.2372
_cell_angle_alpha 90.00
_cell_angle_beta 90.00
_cell_angle_gamma 120.00
loop_
_atom_site_label
_atom_site_fract_x
_atom_site_fract_y
_atom_site_fract_z
Sr1 0.3333 0.6667 0.2448
Sr2 0.6667 0.3333 0.7552
Ga1 0.0000 0.0000 0.5000
Ga2 0.1175 0.7081 0.7422
Ga3 0.2919 0.4094 0.7422
Ga4 0.4094 0.1175 0.2578
Ga5 0.5906 0.8825 0.7422
Ga6 0.7081 0.5906 0.2578
Ga7 0.8825 0.2919 0.2578
Ag1 0.0548 0.4329 0.7519
Ag2 0.1191 0.2590 0.2327
Ag3 0.1399 0.8809 0.2327
Ag4 0.2590 0.1399 0.7673
Ag5 0.3781 0.9452 0.7519
Ag6 0.4329 0.3781 0.2481
Ag7 0.5671 0.6219 0.7519
Ag8 0.6219 0.0548 0.2481
Ag9 0.7410 0.8601 0.2327
Ag10 0.8601 0.1191 0.7673
Ag11 0.8809 0.7410 0.7673
Ag12 0.9452 0.5671 0.2481
```